The following is a computed powder XRD pattern of ZrGePt. It was derived from a GGA-PBE-relaxed structure, using Cu Kα (λ = 1.5418 Å).

Largest 8 diffraction maxima, by intensity, 15 to 90 degrees two-theta:
| Position (°2θ) | intensity |
| --- | --- |
| 34.80 | 100 |
| 41.54 | 46 |
| 36.72 | 42 |
| 45.16 | 34 |
| 17.45 | 29 |
| 41.92 | 26 |
| 28.32 | 22 |
| 68.04 | 20 |

abc: 6.7301 4.0158 7.7560
angles: 90.00 90.00 90.00
Fractional coordinates of all 12 atoms:
Zr 0.0274 0.2500 0.1827
Zr 0.4726 0.7500 0.6827
Zr 0.5274 0.2500 0.3173
Zr 0.9726 0.7500 0.8173
Ge 0.2452 0.7500 0.3786
Ge 0.2548 0.2500 0.8786
Ge 0.7452 0.7500 0.1214
Ge 0.7548 0.2500 0.6214
Pt 0.1452 0.2500 0.5631
Pt 0.3548 0.7500 0.0631
Pt 0.6452 0.2500 0.9369
Pt 0.8548 0.7500 0.4369